Record 1
Diffraction record for Tb8Tm2Th3. The X-ray powder pattern is theoretical, not measured: it uses a DFT-relaxed cell (PBE, Alexandria) and Cu Kα.
Lines closer than 0.1° are merged.

Peak list (10 most intense, 2θ = 10–80°, sorted by position)
| Position (°2θ) | d/Å | Rel. int. |
| --- | --- | --- |
| 24.37 | 3.653 | 19.9 |
| 29.88 | 2.990 | 39.1 |
| 31.46 | 2.844 | 27.1 |
| 31.99 | 2.798 | 41.0 |
| 33.22 | 2.697 | 100.0 |
| 34.53 | 2.597 | 13.4 |
| 36.28 | 2.476 | 12.3 |
| 47.78 | 1.904 | 10.9 |
| 57.80 | 1.595 | 20.6 |
| 66.09 | 1.414 | 12.6 |

Cell and atoms:
Unit cell a=10.657 b=10.657 c=5.595 alpha=90.06 beta=90.06 gamma=43.28
Element x y z (fractional)
Tb  0.097  0.687  0.999
Tb  0.171  0.171  0.501
Tb  0.313  0.903  0.001
Tb  0.370  0.370  0.501
Tb  0.630  0.630  0.499
Tb  0.687  0.097  0.999
Tb  0.829  0.829  0.499
Tb  0.903  0.313  0.001
Tm  0.261  0.261  0.002
Tm  0.739  0.739  0.998
Th  0.205  0.795  0.500
Th  0.500  0.500  0.000
Th  0.795  0.205  0.500

---

Record 2
Diffraction record for Ag7Te4Se. The X-ray powder pattern is theoretical, not measured: it uses a DFT-relaxed cell (PBE, Alexandria) and Cu Kα.
Lines closer than 0.1° are merged.

Peak list (10 most intense, 2θ = 10–80°, sorted by position)
| Position (°2θ) | d/Å | Rel. int. |
| --- | --- | --- |
| 16.96 | 5.228 | 37.4 |
| 24.06 | 3.698 | 53.1 |
| 25.04 | 3.556 | 34.9 |
| 26.08 | 3.417 | 80.3 |
| 29.97 | 2.981 | 37.8 |
| 35.90 | 2.501 | 100.0 |
| 38.93 | 2.314 | 93.4 |
| 40.34 | 2.236 | 76.3 |
| 41.81 | 2.160 | 66.0 |
| 44.91 | 2.018 | 36.0 |

Cell and atoms:
Unit cell a=6.785 b=6.785 c=11.061 alpha=107.65 beta=107.65 gamma=43.26
Element x y z (fractional)
Ag  0.000  0.000  0.000
Ag  0.112  0.112  0.808
Ag  0.328  0.328  0.779
Ag  0.404  0.404  0.546
Ag  0.596  0.596  0.454
Ag  0.672  0.672  0.221
Ag  0.888  0.888  0.192
Te  0.115  0.115  0.344
Te  0.337  0.337  0.275
Te  0.663  0.663  0.725
Te  0.885  0.885  0.656
Se  0.500  0.500  0.000

---

Record 3
Diffraction record for SrCaHfZrO6. The X-ray powder pattern is theoretical, not measured: it uses a DFT-relaxed cell (PBE, Alexandria) and Cu Kα.
Lines closer than 0.1° are merged.

Peak list (10 most intense, 2θ = 10–80°, sorted by position)
| Position (°2θ) | d/Å | Rel. int. |
| --- | --- | --- |
| 18.51 | 4.793 | 14.2 |
| 21.41 | 4.151 | 27.1 |
| 30.46 | 2.935 | 100.0 |
| 35.88 | 2.503 | 8.6 |
| 43.61 | 2.075 | 33.6 |
| 49.08 | 1.856 | 11.5 |
| 54.12 | 1.695 | 40.1 |
| 63.38 | 1.468 | 20.4 |
| 67.72 | 1.384 | 5.2 |
| 71.94 | 1.313 | 17.3 |

Cell and atoms:
Unit cell a=5.870 b=5.870 c=5.870 alpha=60.00 beta=60.00 gamma=60.00
Element x y z (fractional)
Sr  0.000  0.000  0.000
Ca  0.500  0.500  0.500
Hf  0.250  0.250  0.250
Zr  0.750  0.750  0.750
O  0.002  0.002  0.498
O  0.002  0.498  0.002
O  0.002  0.498  0.498
O  0.498  0.002  0.002
O  0.498  0.002  0.498
O  0.498  0.498  0.002

---

Record 4
Diffraction record for Y5U3N8. The X-ray powder pattern is theoretical, not measured: it uses a DFT-relaxed cell (PBE, Alexandria) and Cu Kα.
Lines closer than 0.1° are merged.

Peak list (10 most intense, 2θ = 10–80°, sorted by position)
| Position (°2θ) | d/Å | Rel. int. |
| --- | --- | --- |
| 15.65 | 5.663 | 37.3 |
| 30.35 | 2.945 | 17.3 |
| 31.56 | 2.835 | 33.9 |
| 31.72 | 2.821 | 100.0 |
| 36.75 | 2.446 | 99.3 |
| 52.84 | 1.733 | 34.0 |
| 53.05 | 1.726 | 33.7 |
| 62.86 | 1.478 | 15.3 |
| 63.08 | 1.474 | 45.2 |
| 66.27 | 1.410 | 17.1 |

Cell and atoms:
Unit cell a=6.931 b=6.931 c=6.931 alpha=59.75 beta=59.75 gamma=59.75
Element x y z (fractional)
Y  0.000  0.000  0.000
Y  0.000  0.500  0.500
Y  0.500  0.000  0.500
Y  0.500  0.500  0.000
Y  0.500  0.500  0.500
U  0.000  0.000  0.500
U  0.000  0.500  0.000
U  0.500  0.000  0.000
N  0.234  0.750  0.750
N  0.246  0.246  0.246
N  0.250  0.250  0.766
N  0.250  0.766  0.250
N  0.750  0.234  0.750
N  0.750  0.750  0.234
N  0.754  0.754  0.754
N  0.766  0.250  0.250